# Cu2Re3Se6
Computed PXRD pattern, Cu Kα. Input: a DFT-relaxed cell (GGA-PBE, the Materials Project).

Structural model:
a = 9.7512 Å, b = 9.7512 Å, c = 12.2142 Å
α = 94.72°, β = 94.72°, γ = 61.50°
Element x y z (fractional)
Cu  0.0838  0.9162  0.7500
Cu  0.1726  0.6212  0.5944
Cu  0.3450  0.6550  0.7500
Cu  0.3788  0.8274  0.9056
Cu  0.6212  0.1726  0.0944
Cu  0.6550  0.3450  0.2500
Cu  0.8274  0.3788  0.4056
Cu  0.9162  0.0838  0.2500
Re  0.0184  0.3874  0.1225
Re  0.0921  0.3118  0.9138
Re  0.1982  0.4804  0.0375
Re  0.3118  0.0921  0.4138
Re  0.3874  0.0184  0.6225
Re  0.4804  0.1982  0.5375
Re  0.5196  0.8018  0.4625
Re  0.6126  0.9816  0.3775
Re  0.6882  0.9079  0.5862
Re  0.8018  0.5196  0.9625
Re  0.9079  0.6882  0.0862
Re  0.9816  0.6126  0.8775
Se  0.0424  0.2304  0.2980
Se  0.0882  0.7687  0.0014
Se  0.1157  0.5600  0.2356
Se  0.1916  0.2952  0.5700
Se  0.2304  0.0424  0.7980
Se  0.2313  0.9118  0.4986
Se  0.2580  0.4150  0.8362
Se  0.2952  0.1916  0.0700
Se  0.4150  0.2580  0.3362
Se  0.4400  0.8843  0.2644
Se  0.4422  0.4768  0.5841
Se  0.4768  0.4422  0.0841
Se  0.5232  0.5578  0.9159
Se  0.5578  0.5232  0.4159
Se  0.5600  0.1157  0.7356
Se  0.5850  0.7420  0.6637
Se  0.7048  0.8084  0.9300
Se  0.7420  0.5850  0.1638
Se  0.7687  0.0882  0.5014
Se  0.7696  0.9576  0.2020
Se  0.8084  0.7048  0.4300
Se  0.8843  0.4400  0.7644
Se  0.9118  0.2313  0.9986
Se  0.9576  0.7696  0.7020

Principal peaks in the range 10 to 90 degrees two-theta, most intense first:
| 2θ (°) | I (rel.) |
| --- | --- |
| 12.94 | 100 |
| 10.61 | 57 |
| 12.35 | 37 |
| 47.19 | 19 |
| 42.97 | 16 |
| 45.15 | 13 |
| 17.21 | 12 |
| 48.16 | 11 |
| 14.57 | 10 |
| 38.22 | 10 |
| 32.30 | 10 |
| 49.12 | 9 |

# Ti2CuRe
Computed PXRD pattern, Cu Kα. Input: a DFT-relaxed cell (GGA-PBE, the Materials Project).

Structural model:
a = 6.2010 Å, b = 6.2010 Å, c = 6.2010 Å
α = 90.00°, β = 90.00°, γ = 90.00°
Element x y z (fractional)
Ti  0.2500  0.2500  0.2500
Ti  0.2500  0.2500  0.7500
Ti  0.2500  0.7500  0.2500
Ti  0.2500  0.7500  0.7500
Ti  0.7500  0.2500  0.2500
Ti  0.7500  0.2500  0.7500
Ti  0.7500  0.7500  0.2500
Ti  0.7500  0.7500  0.7500
Cu  0.0000  0.0000  0.0000
Cu  0.0000  0.5000  0.5000
Cu  0.5000  0.0000  0.5000
Cu  0.5000  0.5000  0.0000
Re  0.0000  0.0000  0.5000
Re  0.0000  0.5000  0.0000
Re  0.5000  0.0000  0.0000
Re  0.5000  0.5000  0.5000

Principal peaks in the range 10 to 90 degrees two-theta, most intense first:
| 2θ (°) | I (rel.) |
| --- | --- |
| 41.17 | 100 |
| 75.04 | 32 |
| 24.87 | 27 |
| 28.79 | 27 |
| 59.64 | 16 |
| 48.70 | 14 |
| 67.56 | 10 |
| 89.38 | 10 |
| 51.02 | 8 |
| 65.63 | 6 |
| 80.48 | 5 |

# Zr2CuRe
Computed PXRD pattern, Cu Kα. Input: a DFT-relaxed cell (GGA-PBE, the Materials Project).

Structural model:
a = 6.6048 Å, b = 6.6048 Å, c = 6.6048 Å
α = 90.00°, β = 90.00°, γ = 90.00°
Element x y z (fractional)
Zr  0.2500  0.2500  0.2500
Zr  0.2500  0.2500  0.7500
Zr  0.2500  0.7500  0.2500
Zr  0.2500  0.7500  0.7500
Zr  0.7500  0.2500  0.2500
Zr  0.7500  0.2500  0.7500
Zr  0.7500  0.7500  0.2500
Zr  0.7500  0.7500  0.7500
Cu  0.0000  0.0000  0.0000
Cu  0.0000  0.5000  0.5000
Cu  0.5000  0.0000  0.5000
Cu  0.5000  0.5000  0.0000
Re  0.0000  0.0000  0.5000
Re  0.0000  0.5000  0.0000
Re  0.5000  0.0000  0.0000
Re  0.5000  0.5000  0.5000

Principal peaks in the range 10 to 90 degrees two-theta, most intense first:
| 2θ (°) | I (rel.) |
| --- | --- |
| 38.55 | 100 |
| 69.75 | 34 |
| 55.66 | 17 |
| 23.33 | 16 |
| 82.64 | 11 |
| 45.55 | 9 |
| 61.16 | 4 |
| 87.34 | 3 |
| 74.67 | 3 |
| 27.00 | 3 |
| 62.93 | 1 |
| 47.70 | 1 |

# Cu3Rh
Computed PXRD pattern, Cu Kα. Input: a DFT-relaxed cell (GGA-PBE, the Materials Project).

Structural model:
a = 5.2741 Å, b = 5.2741 Å, c = 4.2659 Å
α = 90.00°, β = 90.00°, γ = 120.00°
Element x y z (fractional)
Cu  0.1636  0.3272  0.2500
Cu  0.1636  0.8364  0.2500
Cu  0.3272  0.1636  0.7500
Cu  0.6728  0.8364  0.2500
Cu  0.8364  0.1636  0.7500
Cu  0.8364  0.6728  0.7500
Rh  0.3333  0.6667  0.7500
Rh  0.6667  0.3333  0.2500

Principal peaks in the range 10 to 90 degrees two-theta, most intense first:
| 2θ (°) | I (rel.) |
| --- | --- |
| 45.03 | 100 |
| 42.38 | 27 |
| 39.46 | 25 |
| 86.85 | 18 |
| 79.38 | 17 |
| 71.56 | 15 |
| 59.28 | 14 |
| 88.68 | 13 |
| 28.63 | 6 |
| 84.93 | 2 |
| 34.00 | 2 |
| 19.43 | 1 |

# Cu3Rh
Computed PXRD pattern, Cu Kα. Input: a DFT-relaxed cell (GGA-PBE, the Materials Project).

Structural model:
a = 3.7130 Å, b = 3.7130 Å, c = 7.2855 Å
α = 90.00°, β = 90.00°, γ = 90.00°
Element x y z (fractional)
Cu  0.0000  0.0000  0.0000
Cu  0.0000  0.5000  0.2500
Cu  0.0000  0.5000  0.7500
Cu  0.5000  0.0000  0.2500
Cu  0.5000  0.0000  0.7500
Cu  0.5000  0.5000  0.5000
Rh  0.0000  0.0000  0.5000
Rh  0.5000  0.5000  0.0000

Principal peaks in the range 10 to 90 degrees two-theta, most intense first:
| 2θ (°) | I (rel.) |
| --- | --- |
| 42.44 | 100 |
| 49.07 | 32 |
| 87.23 | 22 |
| 72.73 | 18 |
| 50.08 | 15 |
| 88.77 | 11 |
| 71.92 | 10 |
| 26.95 | 5 |
| 24.44 | 2 |
| 56.87 | 1 |
| 34.15 | 1 |
| 44.58 | 1 |

# CuSbRh2
Computed PXRD pattern, Cu Kα. Input: a DFT-relaxed cell (GGA-PBE, the Materials Project).

Structural model:
a = 6.2280 Å, b = 6.2280 Å, c = 6.2280 Å
α = 90.00°, β = 90.00°, γ = 90.00°
Element x y z (fractional)
Cu  0.0000  0.0000  0.0000
Cu  0.0000  0.5000  0.5000
Cu  0.5000  0.0000  0.5000
Cu  0.5000  0.5000  0.0000
Sb  0.0000  0.0000  0.5000
Sb  0.0000  0.5000  0.0000
Sb  0.5000  0.0000  0.0000
Sb  0.5000  0.5000  0.5000
Rh  0.2500  0.2500  0.2500
Rh  0.2500  0.2500  0.7500
Rh  0.2500  0.7500  0.2500
Rh  0.2500  0.7500  0.7500
Rh  0.7500  0.2500  0.2500
Rh  0.7500  0.2500  0.7500
Rh  0.7500  0.7500  0.2500
Rh  0.7500  0.7500  0.7500

Principal peaks in the range 10 to 90 degrees two-theta, most intense first:
| 2θ (°) | I (rel.) |
| --- | --- |
| 40.99 | 100 |
| 74.66 | 32 |
| 59.36 | 16 |
| 88.89 | 11 |
| 24.76 | 4 |
| 48.48 | 2 |
| 65.31 | 1 |
| 80.06 | 1 |